[1]
Simulated powder diffraction line list
Compound: Mn2OF3
Radiation: Cu Kα (λ = 1.5418 Å)
Structure: a DFT-relaxed cell (GGA+U, the Materials Project)

Peak list (10 most intense, 2θ = 15–90°, by angle)
- (2 0 0), 25.0°, intensity 100
- (0 2 0), 26.5°, intensity 90
- (1 1 4), 33.8°, intensity 95
- (2 0 4), 38.1°, intensity 20
- (0 2 4), 39.1°, intensity 20
- (3 1 4), 50.0°, intensity 66
- (4 0 0), 51.4°, intensity 21
- (1 3 4), 51.6°, intensity 49
- (0 0 8), 58.4°, intensity 19
- (3 3 4), 64.4°, intensity 41

Structure:
a = 7.115 Å, b = 6.718 Å, c = 12.644 Å
α = 90.00°, β = 90.00°, γ = 90.00°
Space group Cmcm (No. 63)
Symmetry-distinct sites (fractional):
Mn  0.000  0.000  0.000 (multiplicity 4)
Mn  0.000  0.001  0.250 (multiplicity 4)
Mn  0.000  0.469  0.625 (multiplicity 8)
O  0.000  0.172  0.625 (multiplicity 8)
F  0.000  0.212  0.131 (multiplicity 8)
F  0.195  0.481  0.750 (multiplicity 8)
F  0.201  0.500  0.000 (multiplicity 8)

---

[2]
Simulated powder diffraction line list
Compound: Li5Mn3Cu2P6O24
Radiation: Cu Kα (λ = 1.5418 Å)
Structure: a DFT-relaxed cell (GGA+U, the Materials Project)

Peak list (10 most intense, 2θ = 15–90°, by angle)
- (0 1 -2), 20.2°, intensity 100
- (1 1 -1), 20.4°, intensity 29
- (0 1 1), 22.6°, intensity 64
- (2 0 -1), 24.5°, intensity 48
- (1 -2 2), 25.1°, intensity 53
- (2 -1 1), 25.4°, intensity 38
- (-1 2 1), 30.9°, intensity 47
- (-2 1 2), 31.4°, intensity 44
- (1 -3 1), 32.8°, intensity 31
- (1 2 -3), 35.6°, intensity 62

Structure:
a = 8.228 Å, b = 8.395 Å, c = 8.845 Å
α = 115.84°, β = 94.15°, γ = 116.84°
Space group P1 (No. 1)
Symmetry-distinct sites (fractional):
Li  0.000  0.000  0.000 (multiplicity 1)
Li  0.016  0.800  0.148 (multiplicity 1)
Li  0.093  0.610  0.457 (multiplicity 1)
Li  0.186  0.135  0.489 (multiplicity 1)
Li  0.672  0.654  0.184 (multiplicity 1)
Mn  0.222  0.438  0.987 (multiplicity 1)
Mn  0.507  0.837  0.679 (multiplicity 1)
Mn  0.716  0.423  0.487 (multiplicity 1)
Cu  0.369  0.131  0.828 (multiplicity 1)
Cu  0.845  0.110  0.309 (multiplicity 1)
P  0.113  0.655  0.790 (multiplicity 1)
P  0.297  0.351  0.296 (multiplicity 1)
P  0.429  0.930  0.370 (multiplicity 1)
P  0.605  0.615  0.866 (multiplicity 1)
P  0.810  0.330  0.075 (multiplicity 1)
P  0.911  0.912  0.575 (multiplicity 1)
O  0.058  0.786  0.929 (multiplicity 1)
O  0.111  0.161  0.279 (multiplicity 1)
O  0.124  0.092  0.707 (multiplicity 1)
O  0.176  0.536  0.841 (multiplicity 1)
O  0.259  0.953  0.335 (multiplicity 1)
O  0.265  0.810  0.739 (multiplicity 1)
O  0.274  0.302  0.099 (multiplicity 1)
O  0.306  0.551  0.426 (multiplicity 1)
O  0.409  0.730  0.226 (multiplicity 1)
O  0.455  0.960  0.560 (multiplicity 1)
O  0.459  0.456  0.918 (multiplicity 1)
O  0.480  0.355  0.350 (multiplicity 1)
O  0.508  0.705  0.805 (multiplicity 1)
O  0.607  0.153  0.927 (multiplicity 1)
O  0.624  0.116  0.388 (multiplicity 1)
O  0.653  0.484  0.717 (multiplicity 1)
O  0.767  0.923  0.671 (multiplicity 1)
O  0.772  0.798  0.043 (multiplicity 1)
O  0.829  0.306  0.242 (multiplicity 1)
O  0.840  0.543  0.137 (multiplicity 1)
O  0.886  0.943  0.415 (multiplicity 1)
O  0.892  0.699  0.506 (multiplicity 1)
O  0.955  0.473  0.600 (multiplicity 1)
O  0.965  0.301  0.999 (multiplicity 1)

---

[3]
Simulated powder diffraction line list
Compound: NbTlWO6
Radiation: Cu Kα (λ = 1.5418 Å)
Structure: a DFT-relaxed cell (GGA+U, the Materials Project)

Peak list (10 most intense, 2θ = 15–90°, by angle)
- (0 2 0), 23.9°, intensity 56
- (0 1 3), 28.1°, intensity 100
- (2 1 1), 28.2°, intensity 77
- (0 2 2), 29.3°, intensity 25
- (2 0 2), 29.5°, intensity 24
- (0 3 3), 44.6°, intensity 28
- (2 3 1), 44.7°, intensity 17
- (3 0 3), 44.9°, intensity 17
- (2 2 4), 48.9°, intensity 40
- (0 3 5), 57.2°, intensity 13

Structure:
a = 7.402 Å, b = 7.472 Å, c = 10.548 Å
α = 90.00°, β = 90.00°, γ = 90.00°
Space group Imma (No. 74)
Symmetry-distinct sites (fractional):
Nb  0.000  0.000  0.000 (multiplicity 4)
Tl  0.000  0.250  0.374 (multiplicity 4)
W  0.250  0.250  0.750 (multiplicity 4)
O  0.000  0.250  0.065 (multiplicity 4)
O  0.000  0.250  0.691 (multiplicity 4)
O  0.191  0.067  0.873 (multiplicity 16)

---

[4]
Simulated powder diffraction line list
Compound: MgV3CoSn2P6O24
Radiation: Cu Kα (λ = 1.5418 Å)
Structure: a DFT-relaxed cell (GGA+U, the Materials Project)

Peak list (10 most intense, 2θ = 15–90°, by angle)
- (1 -1 0), 20.9°, intensity 100
- (2 1 1), 21.0°, intensity 58
- (2 1 0), 23.6°, intensity 40
- (1 2 2), 23.8°, intensity 45
- (-1 1 2), 30.5°, intensity 60
- (1 2 -1), 30.9°, intensity 36
- (1 -1 2), 31.4°, intensity 32
- (2 1 3), 31.5°, intensity 28
- (0 3 1), 36.6°, intensity 28
- (3 3 2), 36.8°, intensity 47

Structure:
a = 8.452 Å, b = 8.481 Å, c = 9.193 Å
α = 62.82°, β = 64.39°, γ = 60.23°
Space group P1 (No. 1)
Symmetry-distinct sites (fractional):
Mg  0.000  0.000  0.000 (multiplicity 1)
V  0.078  0.407  0.746 (multiplicity 1)
V  0.281  0.595  0.148 (multiplicity 1)
V  0.576  0.895  0.247 (multiplicity 1)
Co  0.753  0.098  0.684 (multiplicity 1)
Sn  0.458  0.768  0.649 (multiplicity 1)
Sn  0.898  0.241  0.283 (multiplicity 1)
P  0.182  0.208  0.462 (multiplicity 1)
P  0.379  0.003  0.948 (multiplicity 1)
P  0.453  0.508  0.457 (multiplicity 1)
P  0.666  0.296  0.949 (multiplicity 1)
P  0.892  0.799  0.435 (multiplicity 1)
P  0.955  0.708  0.965 (multiplicity 1)
O  0.022  0.797  0.251 (multiplicity 1)
O  0.147  0.624  0.013 (multiplicity 1)
O  0.189  0.211  0.624 (multiplicity 1)
O  0.212  0.197  0.920 (multiplicity 1)
O  0.231  0.364  0.301 (multiplicity 1)
O  0.290  0.502  0.615 (multiplicity 1)
O  0.290  0.858  0.981 (multiplicity 1)
O  0.330  0.011  0.435 (multiplicity 1)
O  0.393  0.578  0.293 (multiplicity 1)
O  0.413  0.964  0.115 (multiplicity 1)
O  0.522  0.474  0.008 (multiplicity 1)
O  0.525  0.656  0.437 (multiplicity 1)
O  0.556  0.980  0.799 (multiplicity 1)
O  0.620  0.302  0.803 (multiplicity 1)
O  0.621  0.311  0.467 (multiplicity 1)
O  0.682  0.106  0.101 (multiplicity 1)
O  0.686  0.860  0.427 (multiplicity 1)
O  0.796  0.708  0.132 (multiplicity 1)
O  0.871  0.289  0.897 (multiplicity 1)
O  0.897  0.956  0.475 (multiplicity 1)
O  0.936  0.606  0.570 (multiplicity 1)
O  0.941  0.916  0.849 (multiplicity 1)
O  0.963  0.587  0.881 (multiplicity 1)
O  0.980  0.222  0.485 (multiplicity 1)

---

[5]
Simulated powder diffraction line list
Compound: MnSe3O8
Radiation: Cu Kα (λ = 1.5418 Å)
Structure: a DFT-relaxed cell (GGA+U, the Materials Project)

Peak list (10 most intense, 2θ = 15–90°, by angle)
- (1 2 -1), 18.4°, intensity 29
- (1 2 -2), 22.1°, intensity 48
- (1 3 -1), 23.9°, intensity 100
- (0 2 2), 27.2°, intensity 74
- (2 1 -1), 27.9°, intensity 76
- (1 2 -3), 30.3°, intensity 53
- (2 2 -3), 31.1°, intensity 32
- (1 4 0), 32.2°, intensity 40
- (2 4 -1), 38.8°, intensity 24
- (1 5 -3), 44.3°, intensity 31

Structure:
a = 7.204 Å, b = 13.018 Å, c = 10.251 Å
α = 90.00°, β = 132.18°, γ = 90.00°
Space group P2_1/c (No. 14)
Symmetry-distinct sites (fractional):
Mn  0.126  0.172  0.439 (multiplicity 4)
Se  0.004  0.137  0.066 (multiplicity 4)
Se  0.317  0.008  0.745 (multiplicity 4)
Se  0.332  0.695  0.945 (multiplicity 4)
O  0.077  0.710  0.724 (multiplicity 4)
O  0.110  0.097  0.266 (multiplicity 4)
O  0.155  0.606  0.115 (multiplicity 4)
O  0.170  0.249  0.123 (multiplicity 4)
O  0.300  0.692  0.535 (multiplicity 4)
O  0.347  0.068  0.602 (multiplicity 4)
O  0.390  0.033  0.105 (multiplicity 4)
O  0.421  0.250  0.018 (multiplicity 4)